Simulated powder XRD pattern
Compound: Tb5Tm2Tl4
Radiation: a wavelength of 1.5418 Å
Structure: a DFT-relaxed cell (GGA-PBE, Alexandria)

Structure:
Cell lengths 3.4618, 8.6758, 28.6157 Å; angles 90.00, 90.00, 90.00 degrees
Space group Immm (No. 71)
Asymmetric unit:
Tb 0.0000 0.0000 0.0000 x2
Tb 0.0000 0.3020 0.2993 x8
Tm 0.0000 0.5000 0.4031 x4
Tl 0.0000 0.1800 0.5000 x4
Tl 0.0000 0.5000 0.1970 x4

Top 10 peaks for 10 to 90 degrees two-theta, in order of rising 2θ:
2theta  I/Imax  index
12.4  45  0 0 4
18.6  48  0 0 6
27.8  19  1 1 0
28.5  34  1 1 2
31.3  52  0 0 10
32.3  38  0 3 3
36.7  100  1 2 5
37.6  22  1 1 8
38.1  21  0 3 7
59.3  25  1 2 15

Simulated powder XRD pattern
Compound: LaPr4Sm2
Radiation: a wavelength of 1.5418 Å
Structure: a DFT-relaxed cell (GGA-PBE, Alexandria)

Structure:
Cell lengths 6.6614, 8.8647, 9.0474 Å; angles 88.81, 83.04, 70.84 degrees
Space group P1 (No. 1)
Asymmetric unit:
La 0.0000 0.0000 0.0000 x1
La 0.4323 0.1842 0.8764 x1
Pr 0.0261 0.5494 0.0524 x1
Pr 0.1449 0.2102 0.2773 x1
Pr 0.1899 0.7523 0.3367 x1
Pr 0.3966 0.6364 0.8091 x1
Pr 0.5865 0.3945 0.1448 x1
Pr 0.7077 0.0508 0.4004 x1
Pr 0.8512 0.7856 0.7177 x1
Pr 0.8772 0.3376 0.7335 x1
Sm 0.2687 0.9807 0.6079 x1
Sm 0.3273 0.4073 0.5357 x1
Sm 0.5526 0.8456 0.0949 x1
Sm 0.7285 0.6111 0.4257 x1

Top 10 peaks for 10 to 90 degrees two-theta, in order of rising 2θ:
2theta  I/Imax  index
29.5  39  0 2 2
30.2  100  1 2 -2
30.3  59  1 -2 1
31.5  89  2 0 -1
31.8  15  1 3 1
32.0  15  0 1 3
40.7  15  1 4 0
44.5  12  1 0 -4
45.8  12  3 0 2
52.9  14  0 4 -3

Simulated powder XRD pattern
Compound: BaNa2TaS4
Radiation: a wavelength of 1.5418 Å
Structure: a DFT-relaxed cell (GGA-PBE, Alexandria)

Structure:
Cell lengths 10.8127, 6.2858, 6.2906 Å; angles 90.00, 90.00, 90.00 degrees
Space group Pmn2_1 (No. 31)
Asymmetric unit:
Ba 0.0000 0.2414 0.0000 x2
Na 0.2500 0.2401 0.4990 x4
Ta 0.0000 0.6742 0.4341 x2
S 0.0000 0.3058 0.5014 x2
S 0.0000 0.7408 0.0660 x2
S 0.2016 0.7745 0.5349 x4

Top 10 peaks for 10 to 90 degrees two-theta, in order of rising 2θ:
2theta  I/Imax  index
16.4  100  2 0 0
20.0  73  0 1 1
21.6  30  2 1 0
25.9  70  2 1 1
28.4  96  0 0 2
32.9  44  2 0 2
33.1  37  4 0 0
40.6  26  0 2 2
44.2  46  4 0 2
46.5  22  2 3 0

Simulated powder XRD pattern
Compound: Li2Pd5Au
Radiation: a wavelength of 1.5418 Å
Structure: a DFT-relaxed cell (GGA-PBE, Alexandria)

Structure:
Cell lengths 7.7948, 7.8080, 7.9169 Å; angles 90.00, 90.00, 90.00 degrees
Space group Fmmm (No. 69)
Asymmetric unit:
Li 0.2500 0.2500 0.0000 x8
Pd 0.0000 0.0000 0.0000 x4
Pd 0.0000 0.2500 0.2500 x8
Pd 0.2500 0.0000 0.2500 x8
Au 0.0000 0.0000 0.5000 x4

Top 10 peaks for 10 to 90 degrees two-theta, in order of rising 2θ:
2theta  I/Imax  index
22.8  33  2 0 0
32.2  28  2 0 2
39.8  100  2 2 2
45.8  17  0 0 4
46.6  32  4 0 0
67.4  21  4 0 4
80.7  13  2 2 6
81.7  12  2 6 2
81.8  12  6 2 2
85.9  11  4 4 4

Simulated powder XRD pattern
Compound: KZnAu
Radiation: a wavelength of 1.5418 Å
Structure: a DFT-relaxed cell (GGA-PBE, Alexandria)

Structure:
Cell lengths 4.5078, 4.5078, 4.8934 Å; angles 90.00, 90.00, 120.00 degrees
Space group P-6m2 (No. 187)
Asymmetric unit:
K 0.0000 0.0000 0.0000 x1
Zn 0.3333 0.6667 0.5000 x1
Au 0.6667 0.3333 0.5000 x1

Top 10 peaks for 10 to 90 degrees two-theta, in order of rising 2θ:
2theta  I/Imax  index
18.1  62  0 0 1
22.8  43  1 0 0
29.3  100  1 0 1
36.7  21  0 0 2
40.0  49  1 1 0
43.7  17  1 0 2
44.2  41  1 1 1
50.3  22  2 0 1
55.4  37  1 1 2
66.1  19  2 1 1

Simulated powder XRD pattern
Compound: Pr3TmP2N6
Radiation: a wavelength of 1.5418 Å
Structure: a DFT-relaxed cell (GGA-PBE, Alexandria)

Structure:
Cell lengths 5.7158, 5.7158, 6.4158 Å; angles 90.00, 90.00, 120.00 degrees
Space group P-3m1 (No. 164)
Asymmetric unit:
Pr 0.0000 0.0000 0.0000 x1
Pr 0.3333 0.6667 0.6502 x2
Tm 0.0000 0.0000 0.5000 x1
P 0.3333 0.6667 0.1734 x2
N 0.1804 0.3608 0.2875 x6

Top 10 peaks for 10 to 90 degrees two-theta, in order of rising 2θ:
2theta  I/Imax  index
13.8  20  0 0 1
17.9  19  1 0 0
22.7  18  1 0 1
31.3  100  1 1 0
33.3  88  0 1 2
46.3  48  2 0 2
55.7  20  3 0 0
57.0  38  1 2 2
60.7  17  1 0 4
78.6  17  2 1 4

Simulated powder XRD pattern
Compound: Y5SnS4
Radiation: a wavelength of 1.5418 Å
Structure: a DFT-relaxed cell (GGA-PBE, Alexandria)

Structure:
Cell lengths 9.0015, 9.0015, 5.7146 Å; angles 90.00, 90.00, 90.00 degrees
Space group I4/m (No. 87)
Asymmetric unit:
Y 0.0000 0.0000 0.0000 x2
Y 0.1037 0.6881 0.5000 x8
Sn 0.0000 0.0000 0.5000 x2
S 0.1044 0.6990 0.0000 x8

Top 10 peaks for 10 to 90 degrees two-theta, in order of rising 2θ:
2theta  I/Imax  index
27.1  27  1 2 1
31.3  47  0 0 2
31.4  95  3 1 0
45.0  100  3 1 2
55.9  33  2 4 2
65.6  10  6 2 0
74.3  15  3 1 4
74.5  27  6 2 2
82.9  11  2 4 4
83.1  20  5 5 2

Simulated powder XRD pattern
Compound: Tb3HgTe2
Radiation: a wavelength of 1.5418 Å
Structure: a DFT-relaxed cell (GGA-PBE, Alexandria)

Structure:
Cell lengths 4.2103, 6.1890, 13.5137 Å; angles 90.00, 90.00, 90.00 degrees
Space group Immm (No. 71)
Asymmetric unit:
Tb 0.0000 0.0000 0.0000 x2
Tb 0.0000 0.0000 0.3379 x4
Hg 0.0000 0.5000 0.0000 x2
Te 0.0000 0.5000 0.3308 x4

Top 10 peaks for 10 to 90 degrees two-theta, in order of rising 2θ:
2theta  I/Imax  index
28.9  52  0 2 0
29.0  100  1 0 3
40.0  21  0 0 6
41.4  77  1 2 3
43.0  17  2 0 0
50.1  22  0 2 6
52.6  19  2 2 0
67.8  18  1 4 3
68.1  18  2 2 6
73.6  14  1 2 9

Simulated powder XRD pattern
Compound: TbSb4Rh5
Radiation: a wavelength of 1.5418 Å
Structure: a DFT-relaxed cell (GGA-PBE, Alexandria)

Structure:
Cell lengths 7.8070, 9.1158, 5.6857 Å; angles 90.00, 90.00, 90.00 degrees
Space group Pmmn (No. 59, origin choice 2)
Asymmetric unit:
Tb 0.2500 0.2500 0.0098 x2
Sb 0.0443 0.2500 0.5049 x4
Sb 0.2500 0.5891 0.8908 x4
Rh 0.0458 0.0025 0.2514 x8
Rh 0.2500 0.7500 0.2833 x2

Top 10 peaks for 10 to 90 degrees two-theta, in order of rising 2θ:
2theta  I/Imax  index
27.7  100  2 0 1
30.1  27  2 2 0
31.6  31  1 3 0
35.0  33  1 1 2
35.4  33  1 3 1
37.3  80  0 2 2
39.5  41  0 4 0
43.1  55  3 2 1
44.1  54  2 2 2
48.8  44  3 3 1

Simulated powder XRD pattern
Compound: Ho3Si4Rh7
Radiation: a wavelength of 1.5418 Å
Structure: a DFT-relaxed cell (GGA-PBE, Alexandria)

Structure:
Cell lengths 15.1598, 3.9996, 9.1695 Å; angles 90.00, 124.87, 90.00 degrees
Space group C2/m (No. 12)
Asymmetric unit:
Ho 0.0000 0.0000 0.0000 x2
Ho 0.1690 0.5000 0.6644 x4
Si 0.1127 0.0000 0.8359 x4
Si 0.1662 0.5000 0.2797 x4
Rh 0.0000 0.0000 0.5000 x2
Rh 0.0044 0.5000 0.2701 x4
Rh 0.1642 0.0000 0.4218 x4
Rh 0.1964 0.5000 0.0477 x4

Top 10 peaks for 10 to 90 degrees two-theta, in order of rising 2θ:
2theta  I/Imax  index
31.1  18  3 1 0
36.4  100  1 1 2
37.0  31  3 1 -3
37.3  81  5 1 -2
39.3  25  4 0 -4
43.7  33  6 0 0
45.3  41  0 2 0
61.5  21  10 0 -4
64.8  20  6 2 0
70.6  18  9 1 -6

Simulated powder XRD pattern
Compound: CaPr3In
Radiation: a wavelength of 1.5418 Å
Structure: a DFT-relaxed cell (GGA-PBE, Alexandria)

Structure:
Cell lengths 9.0362, 7.1575, 10.9406 Å; angles 90.00, 107.38, 90.00 degrees
Space group P2_1/c (No. 14)
Asymmetric unit:
Ca 0.2354 0.0067 0.3153 x4
Pr 0.0285 0.2433 0.0056 x4
Pr 0.2071 0.5087 0.2933 x4
Pr 0.4055 0.7316 0.5996 x4
In 0.4049 0.2408 0.6030 x4

Top 10 peaks for 10 to 90 degrees two-theta, in order of rising 2θ:
2theta  I/Imax  index
30.3  100  0 2 2
30.6  60  2 0 2
30.7  59  3 0 -2
32.5  49  2 2 0
32.7  54  1 0 -4
40.2  16  3 2 0
46.9  18  3 2 -4
56.9  25  1 2 -6
57.1  19  1 0 6
60.7  31  2 4 2

Simulated powder XRD pattern
Compound: SmThBiP
Radiation: a wavelength of 1.5418 Å
Structure: a DFT-relaxed cell (GGA-PBE, Alexandria)

Structure:
Cell lengths 4.2684, 4.2684, 22.3152 Å; angles 90.00, 90.00, 120.00 degrees
Space group R3m (No. 160, hexagonal axes)
Asymmetric unit:
Sm 0.0000 0.0000 0.0000 x3
Th 0.0000 0.0000 0.8073 x3
Bi 0.0000 0.0000 0.2373 x3
P 0.0000 0.0000 0.4053 x3

Top 10 peaks for 10 to 90 degrees two-theta, in order of rising 2θ:
2theta  I/Imax  index
24.4  31  1 0 1
25.4  38  0 1 2
29.0  61  1 0 4
31.4  100  0 1 5
37.2  34  1 0 7
42.4  58  1 1 0
53.7  23  2 0 5
56.9  25  1 1 9
66.7  16  1 1 12
70.6  20  1 2 5

Simulated powder XRD pattern
Compound: BeAs2RuBr
Radiation: a wavelength of 1.5418 Å
Structure: a DFT-relaxed cell (GGA-PBE, Alexandria)

Structure:
Cell lengths 4.3314, 4.3314, 4.7769 Å; angles 90.00, 90.00, 90.00 degrees
Space group P4/mmm (No. 123)
Asymmetric unit:
Be 0.0000 0.0000 0.0000 x1
As 0.0000 0.5000 0.0000 x2
Ru 0.5000 0.5000 0.5000 x1
Br 0.0000 0.0000 0.5000 x1

Top 10 peaks for 10 to 90 degrees two-theta, in order of rising 2θ:
2theta  I/Imax  index
27.8  1  1 0 1
34.8  100  1 1 1
37.7  22  0 0 2
41.7  32  2 0 0
57.4  25  2 0 2
60.5  11  2 2 0
66.1  15  1 1 3
71.7  23  3 1 1
73.5  12  2 2 2
80.4  2  0 0 4

Simulated powder XRD pattern
Compound: Sm2AsO
Radiation: a wavelength of 1.5418 Å
Structure: a DFT-relaxed cell (GGA-PBE, Alexandria)

Structure:
Cell lengths 3.7829, 3.7829, 20.4855 Å; angles 90.00, 90.00, 120.00 degrees
Space group R3m (No. 160, hexagonal axes)
Asymmetric unit:
Sm 0.0000 0.0000 0.0000 x3
Sm 0.0000 0.0000 0.1561 x3
As 0.0000 0.0000 0.5777 x3
O 0.0000 0.0000 0.4049 x3

Top 10 peaks for 10 to 90 degrees two-theta, in order of rising 2θ:
2theta  I/Imax  index
26.1  28  0 0 6
27.6  59  1 0 1
28.6  92  0 1 2
35.1  100  0 1 5
41.4  84  1 0 7
48.1  61  1 1 0
55.5  22  1 1 6
65.3  22  0 2 7
74.9  28  1 1 12
85.1  21  2 1 7